1.
# K2BiSbO4
Calculated X-ray diffraction stick pattern, Cu Kα (λ = 1.5418 Å). Input: a crystal structure in Alexandria, relaxed with PBE.
Intensities are scaled so that the largest is 100.

Atomic structure:
```
data_K2BiSbO4
_chemical_formula_sum 'K4 Bi2 Sb2 O8'
_cell_length_a 7.7976
_cell_length_b 7.1067
_cell_length_c 6.1714
_cell_angle_alpha 90.00
_cell_angle_beta 90.00
_cell_angle_gamma 90.00
_space_group_name_H-M_alt 'P m n 21'
_space_group_IT_number 31
_space_group_name_Hall 'P 2ac -2'
loop_
_atom_site_label
_atom_site_type_symbol
_atom_site_fract_x
_atom_site_fract_y
_atom_site_fract_z
_atom_site_occupancy
K1 K 0.2392 0.1594 0.0000 1
Bi1 Bi 0.0000 0.4078 0.5300 1
Sb1 Sb 0.0000 0.7075 0.9797 1
O1 O 0.0000 0.4312 0.9141 1
O2 O 0.0000 0.6859 0.2934 1
O3 O 0.2156 0.2272 0.4709 1
```

Most intense lines, 2θ from 5° to 70°, low angle first:
| hkl | d/Å | 2θ/deg | intensity |
| --- | --- | --- | --- |
| 0 1 0 | 7.107 | 12.5 | 60.2 |
| 0 1 1 | 4.660 | 19.0 | 50.2 |
| 1 1 1 | 4.000 | 22.2 | 37.2 |
| 2 0 0 | 3.899 | 22.8 | 30.4 |
| 2 1 0 | 3.418 | 26.1 | 56.0 |
| 0 0 2 | 3.082 | 29.0 | 100.0 |
| 2 1 1 | 2.990 | 29.9 | 68.2 |
| 1 3 0 | 2.267 | 39.8 | 30.2 |

---

2.
# Ta7Cr
Calculated X-ray diffraction stick pattern, Cu Kα (λ = 1.5418 Å). Input: a crystal structure in Alexandria, relaxed with PBE.
Intensities are scaled so that the largest is 100.

Atomic structure:
```
data_Ta7Cr
_chemical_formula_sum 'Ta42 Cr6'
_cell_length_a 9.2162
_cell_length_b 9.2162
_cell_length_c 11.4182
_cell_angle_alpha 90.00
_cell_angle_beta 90.00
_cell_angle_gamma 120.00
_space_group_name_H-M_alt 'R -3 m'
_space_group_IT_number 166
_space_group_name_Hall '-R 3 2"'
loop_
_atom_site_label
_atom_site_type_symbol
_atom_site_fract_x
_atom_site_fract_y
_atom_site_fract_z
_atom_site_occupancy
Ta1 Ta 0.0000 0.0000 0.1281 1
Ta2 Ta 0.0079 0.5039 0.3740 1
Ta3 Ta 0.0086 0.5043 0.1235 1
Cr1 Cr 0.0000 0.0000 0.3755 1
```

Most intense lines, 2θ from 5° to 70°, low angle first:
| hkl | d/Å | 2θ/deg | intensity |
| --- | --- | --- | --- |
| 1 0 1 | 6.542 | 13.5 | 2.3 |
| 1 1 0 | 4.608 | 19.3 | 5.0 |
| 0 2 1 | 3.767 | 23.6 | 1.7 |
| 1 1 3 | 2.935 | 30.5 | 2.3 |
| 2 1 1 | 2.917 | 30.7 | 4.0 |
| 0 2 4 | 2.322 | 38.8 | 100.0 |
| 2 2 0 | 2.304 | 39.1 | 97.1 |
| 4 0 4 | 1.635 | 56.2 | 33.7 |

---

3.
# Zn2GaCo2
Calculated X-ray diffraction stick pattern, Cu Kα (λ = 1.5418 Å). Input: a crystal structure in Alexandria, relaxed with PBE.
Intensities are scaled so that the largest is 100.

Atomic structure:
```
data_Zn2GaCo2
_chemical_formula_sum 'Zn2 Ga1 Co2'
_cell_length_a 3.9436
_cell_length_b 4.6323
_cell_length_c 4.9035
_cell_angle_alpha 97.00
_cell_angle_beta 113.38
_cell_angle_gamma 115.16
_space_group_name_H-M_alt 'P -1'
_space_group_IT_number 2
_space_group_name_Hall '-P 1'
loop_
_atom_site_label
_atom_site_type_symbol
_atom_site_fract_x
_atom_site_fract_y
_atom_site_fract_z
_atom_site_occupancy
Zn1 Zn 0.1529 0.2952 0.0088 1
Ga1 Ga 0.0000 0.5000 0.5000 1
Co1 Co 0.3437 0.1563 0.5320 1
```

Most intense lines, 2θ from 5° to 70°, low angle first:
| hkl | d/Å | 2θ/deg | intensity |
| --- | --- | --- | --- |
| 1 -1 0 | 3.450 | 25.8 | 17.4 |
| 1 -1 1 | 2.394 | 37.6 | 17.0 |
| 0 0 2 | 2.108 | 42.9 | 59.4 |
| 1 -2 1 | 2.037 | 44.5 | 53.2 |
| 1 1 -2 | 2.032 | 44.6 | 48.9 |
| 1 1 0 | 1.980 | 45.8 | 49.6 |
| -2 1 1 | 1.973 | 46.0 | 100.0 |
| 0 3 -1 | 1.397 | 67.0 | 18.4 |